1.
Calculated X-ray powder pattern
Compound: Dy2S2O
Radiation: CuKα
Structure: a GGA-PBE-relaxed structure

Structural model:
Unit cell a=15.533 b=3.801 c=6.728 alpha=90.00 beta=90.00 gamma=90.00
Fractional positions:
1 Dy 0.041 0.250 0.207
2 Dy 0.165 0.250 0.756
3 Dy 0.335 0.750 0.256
4 Dy 0.459 0.750 0.707
5 Dy 0.541 0.250 0.293
6 Dy 0.665 0.250 0.744
7 Dy 0.835 0.750 0.244
8 Dy 0.959 0.750 0.793
9 S 0.101 0.750 0.512
10 S 0.181 0.750 0.046
11 S 0.319 0.250 0.546
12 S 0.399 0.250 0.012
13 S 0.601 0.750 0.988
14 S 0.681 0.750 0.454
15 S 0.819 0.250 0.954
16 S 0.899 0.250 0.488
17 O 0.031 0.250 0.868
18 O 0.469 0.750 0.368
19 O 0.531 0.250 0.632
20 O 0.969 0.750 0.132

Peak list (6 most intense, 2θ from 15° to 90°, in order of rising 2θ)
d (Å)	I_rel
3.414	32
3.363	100
3.044	75
2.519	25
2.396	61
1.655	27

***

2.
Calculated X-ray powder pattern
Compound: Dy2SiSeO4
Radiation: CuKα
Structure: a GGA-PBE-relaxed structure

Structural model:
Unit cell a=6.011 b=6.934 c=10.756 alpha=90.00 beta=90.00 gamma=90.00
Fractional positions:
1 Dy 0.108 0.250 0.000
2 Dy 0.108 0.250 0.500
3 Dy 0.368 0.530 0.250
4 Dy 0.368 0.970 0.750
5 Dy 0.632 0.030 0.250
6 Dy 0.632 0.470 0.750
7 Dy 0.892 0.750 0.000
8 Dy 0.892 0.750 0.500
9 Si 0.387 0.750 0.000
10 Si 0.387 0.750 0.500
11 Si 0.613 0.250 0.000
12 Si 0.613 0.250 0.500
13 Se 0.077 0.623 0.750
14 Se 0.077 0.877 0.250
15 Se 0.923 0.123 0.750
16 Se 0.923 0.377 0.250
17 O 0.224 0.568 0.032
18 O 0.224 0.568 0.468
19 O 0.224 0.932 0.532
20 O 0.224 0.932 0.968
21 O 0.445 0.240 0.621
22 O 0.445 0.240 0.879
23 O 0.445 0.260 0.121
24 O 0.445 0.260 0.379
25 O 0.555 0.740 0.621
26 O 0.555 0.740 0.879
27 O 0.555 0.760 0.121
28 O 0.555 0.760 0.379
29 O 0.776 0.068 0.032
30 O 0.776 0.068 0.468
31 O 0.776 0.432 0.532
32 O 0.776 0.432 0.968

Peak list (6 most intense, 2θ from 15° to 90°, in order of rising 2θ)
d (Å)	I_rel
4.184	45
4.008	44
2.914	100
2.689	68
2.671	63
2.454	52

***

3.
Calculated X-ray powder pattern
Compound: TbDySeO2
Radiation: CuKα
Structure: a GGA-PBE-relaxed structure

Structural model:
Unit cell a=3.833 b=3.833 c=6.777 alpha=90.00 beta=90.00 gamma=120.00
Fractional positions:
1 Tb 0.000 0.000 0.000
2 Dy 0.667 0.333 0.420
3 Se 0.333 0.667 0.709
4 O 0.000 0.000 0.338
5 O 0.667 0.333 0.085

Peak list (6 most intense, 2θ from 15° to 90°, in order of rising 2θ)
d (Å)	I_rel
2.981	100
2.371	41
1.916	33
1.867	17
1.612	17
1.461	15

***

4.
Calculated X-ray powder pattern
Compound: DyTlSeO
Radiation: CuKα
Structure: a GGA-PBE-relaxed structure

Structural model:
Unit cell a=5.600 b=5.558 c=12.131 alpha=90.00 beta=101.06 gamma=90.00
Fractional positions:
1 Dy 0.041 0.000 0.090
2 Dy 0.459 0.000 0.909
3 Dy 0.541 0.500 0.091
4 Dy 0.959 0.500 0.910
5 Tl 0.016 0.618 0.607
6 Tl 0.487 0.623 0.393
7 Tl 0.513 0.123 0.607
8 Tl 0.984 0.118 0.393
9 Se 0.033 0.128 0.737
10 Se 0.465 0.131 0.263
11 Se 0.535 0.631 0.737
12 Se 0.967 0.628 0.263
13 O 0.250 0.257 0.000
14 O 0.250 0.754 0.000
15 O 0.750 0.254 0.000
16 O 0.750 0.757 0.000

Peak list (6 most intense, 2θ from 15° to 90°, in order of rising 2θ)
d (Å)	I_rel
3.572	29
2.996	100
2.779	27
2.748	40
2.612	63
1.712	25

***

5.
Calculated X-ray powder pattern
Compound: Dy2Si2O7
Radiation: CuKα
Structure: a GGA-PBE-relaxed structure

Structural model:
Unit cell a=4.691 b=10.826 c=5.556 alpha=90.00 beta=95.92 gamma=90.00
Fractional positions:
1 Dy 0.114 0.150 0.406
2 Dy 0.114 0.350 0.906
3 Dy 0.886 0.650 0.094
4 Dy 0.886 0.850 0.594
5 Si 0.360 0.613 0.644
6 Si 0.360 0.887 0.144
7 Si 0.640 0.113 0.856
8 Si 0.640 0.387 0.356
9 O 0.121 0.683 0.459
10 O 0.121 0.817 0.959
11 O 0.207 0.552 0.869
12 O 0.207 0.948 0.369
13 O 0.382 0.204 0.747
14 O 0.382 0.296 0.247
15 O 0.500 0.000 0.000
16 O 0.500 0.500 0.500
17 O 0.618 0.704 0.753
18 O 0.618 0.796 0.253
19 O 0.793 0.052 0.631
20 O 0.793 0.448 0.131
21 O 0.879 0.183 0.041
22 O 0.879 0.317 0.541

Peak list (6 most intense, 2θ from 15° to 90°, in order of rising 2θ)
d (Å)	I_rel
4.922	32
4.666	38
3.241	56
3.089	100
2.678	31
2.279	33

***

6.
Calculated X-ray powder pattern
Compound: DySn2O4
Radiation: CuKα
Structure: a GGA-PBE-relaxed structure

Structural model:
Unit cell a=6.882 b=6.882 c=6.882 alpha=60.00 beta=60.00 gamma=60.00
Fractional positions:
1 Dy 0.125 0.125 0.125
2 Dy 0.875 0.875 0.875
3 Sn 0.000 0.500 0.500
4 Sn 0.500 0.000 0.500
5 Sn 0.500 0.500 0.000
6 Sn 0.500 0.500 0.500
7 O 0.254 0.254 0.254
8 O 0.254 0.254 0.739
9 O 0.254 0.739 0.254
10 O 0.261 0.746 0.746
11 O 0.739 0.254 0.254
12 O 0.746 0.261 0.746
13 O 0.746 0.746 0.261
14 O 0.746 0.746 0.746

Peak list (6 most intense, 2θ from 15° to 90°, in order of rising 2θ)
d (Å)	I_rel
3.441	35
2.935	100
2.810	17
1.873	38
1.721	41
1.267	24